Structure and theoretical PXRD pattern of NaPrCuWO6 (a crystal structure in Alexandria, relaxed with PBE+U; a wavelength of 1.5418 Å).
Intensities are scaled so that the largest is 100.

Atomic structure:
```
NaPrCuWO6
1.0
5.3208 0.0000 0.0000
0.0000 5.3208 0.0000
0.0000 0.0000 8.7462
Na Pr Cu W O
2 2 2 2 12
Direct
0.0000 0.5000 0.2500
0.5000 0.0000 0.7500
0.0000 0.5000 0.7500
0.5000 0.0000 0.2500
0.0000 0.0000 0.0000
0.5000 0.5000 0.5000
0.0000 0.0000 0.5000
0.5000 0.5000 0.0000
0.0000 0.0000 0.2755
0.0000 0.0000 0.7245
0.1826 0.3149 0.5087
0.1851 0.3174 0.9913
0.3149 0.8174 0.4913
0.3174 0.8149 0.0087
0.5000 0.5000 0.2245
0.5000 0.5000 0.7755
0.6826 0.1851 0.0087
0.6851 0.1826 0.4913
0.8149 0.6826 0.9913
0.8174 0.6851 0.5087
```

Principal peaks in the range 10 to 90 degrees two-theta, low angle first:
two_theta, d_spacing, intensity, hkl
19.5, 4.546, 64, 1 0 1
31.4, 2.852, 100, 1 1 2
33.7, 2.660, 49, 2 0 0
39.2, 2.296, 21, 2 1 1
41.3, 2.187, 22, 0 0 4
48.4, 1.881, 24, 2 2 0
54.3, 1.689, 24, 2 0 4
58.8, 1.570, 40, 3 1 2
65.4, 1.426, 18, 2 2 4
88.8, 1.102, 13, 3 1 6